# La2Ga6Pt3
Theoretical PXRD pattern, Cu Kα X-rays. Input: a DFT-relaxed cell (PBE, Alexandria).

Lattice parameters (Å, degrees): 7.751 7.751 4.332 90.00 90.00 120.00
Sites, in units of the cell vectors:
1 La 0.333 0.667 0.000
2 La 0.667 0.333 0.000
3 Ga 0.000 0.193 0.000
4 Ga 0.000 0.694 0.500
5 Ga 0.193 0.000 0.000
6 Ga 0.306 0.306 0.500
7 Ga 0.694 0.000 0.500
8 Ga 0.807 0.807 0.000
9 Pt 0.000 0.367 0.500
10 Pt 0.367 0.000 0.500
11 Pt 0.633 0.633 0.500

The 6 most intense peaks (10° ≤ 2θ ≤ 90°), in order of rising 2θ:
22.95 deg, I = 34.9, (1 1 0); 30.96 deg, I = 100.0, (1 1 1); 40.31 deg, I = 44.5, (3 0 0); 41.23 deg, I = 36.8, (2 1 1); 41.70 deg, I = 26.5, (0 0 2); 59.38 deg, I = 28.6, (3 0 2)